# 1
The following is a theoretical powder X-ray diffraction pattern of Hg3Pt. It was derived from a crystal structure in the Materials Project, relaxed with PBE, using Cu Kα (λ = 1.5418 Å).
Lines closer than 0.1° are merged.

Most intense lines, 2θ = 15–90°, sorted by position:
2theta	d_spacing	I_rel
35.89	2.502	1000
38.88	2.316	202
43.03	2.102	305
59.37	1.557	238
62.48	1.486	102
68.47	1.370	157
74.21	1.278	251
76.08	1.251	118
83.47	1.158	24

Atomic structure:
```
Hg3Pt
1.0
-2.1022 2.1022 4.6325
2.1022 -2.1022 4.6325
2.1022 2.1022 -4.6325
Hg Pt
3 1
Cartesian
0.0000 0.0000 0.0000
2.1022 0.0000 2.3163
0.0000 2.1022 2.3163
0.0000 0.0000 4.6325
```

# 2
The following is a theoretical powder X-ray diffraction pattern of HgPt3. It was derived from a crystal structure in the Materials Project, relaxed with PBE, using Cu Kα (λ = 1.5418 Å).
Lines closer than 0.1° are merged.

Most intense lines, 2θ = 15–90°, sorted by position:
2theta	d_spacing	I_rel
38.28	2.351	1000
44.49	2.036	494
64.74	1.440	329
77.78	1.228	394
81.95	1.176	116

Atomic structure:
```
HgPt3
1.0
4.0726 0.0000 0.0000
0.0000 4.0726 0.0000
0.0000 0.0000 4.0726
Hg Pt
1 3
Cartesian
0.0000 0.0000 0.0000
0.0000 2.0363 2.0363
2.0363 0.0000 2.0363
2.0363 2.0363 0.0000
```